Structure and theoretical powder diffractogram of Pm3N2F (a structure optimized by DFT (PBE); CuKα).
No peak broadening, texture or thermal motion is included.

Structure:
Cell lengths 6.4716, 6.4716, 11.2271 Å; angles 90.00, 90.00, 148.55 degrees
Atoms (fractional coordinates):
Pm: 0.1074 0.8926 0.5854
Pm: 0.1074 0.8926 0.9146
Pm: 0.3878 0.6122 0.7500
Pm: 0.6122 0.3878 0.2500
Pm: 0.8926 0.1074 0.0854
Pm: 0.8926 0.1074 0.4146
N: 0.0015 0.9985 0.2500
N: 0.5000 0.5000 0.0000
N: 0.5000 0.5000 0.5000
N: 0.9985 0.0015 0.7500
F: 0.2866 0.7134 0.2500
F: 0.7134 0.2866 0.7500

Largest 10 diffraction maxima, in order of falling intensity, 2θ = 15–90°:
d/Å  Position (°2θ)  I/Imax
3.208  27.81  100.0
2.607  34.41  48.8
3.115  28.66  34.2
2.893  30.91  33.3
3.233  27.59  32.6
1.539  60.13  23.1
2.158  41.85  21.7
1.910  47.61  20.2
1.871  48.67  18.7
2.418  37.18  16.2

***

Structure and theoretical powder diffractogram of DyHfCu4 (a structure optimized by DFT (PBE); CuKα).
No peak broadening, texture or thermal motion is included.

Structure:
Cell lengths 3.1584, 4.2868, 7.3619 Å; angles 90.00, 90.00, 90.00 degrees
Atoms (fractional coordinates):
Dy: 0.0000 0.0000 0.0000
Hf: 0.0000 0.5000 0.5000
Cu: 0.5000 0.0000 0.3389
Cu: 0.5000 0.0000 0.6611
Cu: 0.5000 0.5000 0.1744
Cu: 0.5000 0.5000 0.8256

Largest 10 diffraction maxima, in order of falling intensity, 2θ = 15–90°:
d/Å  Position (°2θ)  I/Imax
2.403  37.42  100.0
2.130  42.44  58.4
2.397  37.52  50.5
2.143  42.16  30.0
1.598  57.70  28.5
3.705  24.02  27.3
1.269  74.85  20.7
1.590  58.00  13.4
1.274  74.46  13.3
1.282  73.93  13.2

***

Structure and theoretical powder diffractogram of CeSm5In3 (a structure optimized by DFT (PBE); CuKα).
No peak broadening, texture or thermal motion is included.

Structure:
Cell lengths 9.5420, 9.5420, 6.8094 Å; angles 90.00, 90.00, 120.00 degrees
Atoms (fractional coordinates):
Ce: 0.0000 0.0000 0.0000
Ce: 0.0000 0.0000 0.5000
Sm: 0.0000 0.3269 0.2500
Sm: 0.0000 0.6731 0.7500
Sm: 0.3269 0.0000 0.2500
Sm: 0.3269 0.3269 0.7500
Sm: 0.3333 0.6667 0.0000
Sm: 0.3333 0.6667 0.5000
Sm: 0.6667 0.3333 0.0000
Sm: 0.6667 0.3333 0.5000
Sm: 0.6731 0.0000 0.7500
Sm: 0.6731 0.6731 0.2500
In: 0.0000 0.3388 0.7500
In: 0.0000 0.6612 0.2500
In: 0.3388 0.0000 0.7500
In: 0.3388 0.3388 0.2500
In: 0.6612 0.0000 0.2500
In: 0.6612 0.6612 0.7500

Largest 10 diffraction maxima, in order of falling intensity, 2θ = 15–90°:
d/Å  Position (°2θ)  I/Imax
2.755  32.51  100.0
2.771  32.30  93.6
1.594  57.86  34.9
1.954  46.48  33.8
1.448  64.33  27.5
1.590  57.99  18.7
1.233  77.37  14.7
1.162  83.11  13.4
1.377  68.08  11.4
2.141  42.20  8.1

***

Structure and theoretical powder diffractogram of Tm2Fe17C3 (a structure optimized by DFT (PBE); CuKα).
No peak broadening, texture or thermal motion is included.

Structure:
Cell lengths 8.5938, 8.5938, 8.3244 Å; angles 90.00, 90.00, 120.00 degrees
Atoms (fractional coordinates):
Tm: 0.0000 0.0000 0.2500
Tm: 0.0000 0.0000 0.7500
Tm: 0.3333 0.6667 0.2500
Tm: 0.6667 0.3333 0.7500
Fe: 0.0000 0.5000 0.0000
Fe: 0.0000 0.5000 0.5000
Fe: 0.0524 0.3788 0.7500
Fe: 0.0524 0.6736 0.7500
Fe: 0.1678 0.3355 0.0205
Fe: 0.1678 0.3355 0.4795
Fe: 0.1678 0.8322 0.0205
Fe: 0.1678 0.8322 0.4795
Fe: 0.3264 0.3788 0.7500
Fe: 0.3264 0.9476 0.7500
Fe: 0.3333 0.6667 0.6068
Fe: 0.3333 0.6667 0.8932
Fe: 0.3355 0.1678 0.5205
Fe: 0.3355 0.1678 0.9795
Fe: 0.3788 0.0524 0.2500
Fe: 0.3788 0.3264 0.2500
Fe: 0.5000 0.0000 0.0000
Fe: 0.5000 0.0000 0.5000
Fe: 0.5000 0.5000 0.0000
Fe: 0.5000 0.5000 0.5000
Fe: 0.6212 0.6736 0.7500
Fe: 0.6212 0.9476 0.7500
Fe: 0.6645 0.8322 0.0205
Fe: 0.6645 0.8322 0.4795
Fe: 0.6667 0.3333 0.1068
Fe: 0.6667 0.3333 0.3932
Fe: 0.6736 0.0524 0.2500
Fe: 0.6736 0.6212 0.2500
Fe: 0.8322 0.1678 0.5205
Fe: 0.8322 0.1678 0.9795
Fe: 0.8322 0.6645 0.5205
Fe: 0.8322 0.6645 0.9795
Fe: 0.9476 0.3264 0.2500
Fe: 0.9476 0.6212 0.2500
C: 0.1654 0.3308 0.2500
C: 0.1654 0.8346 0.2500
C: 0.3308 0.1654 0.7500
C: 0.6692 0.8346 0.2500
C: 0.8346 0.1654 0.7500
C: 0.8346 0.6692 0.7500

Largest 10 diffraction maxima, in order of falling intensity, 2θ = 15–90°:
d/Å  Position (°2θ)  I/Imax
2.131  42.42  100.0
2.148  42.06  73.7
2.990  29.89  47.6
2.481  36.21  40.6
2.224  40.55  37.6
2.081  43.49  34.7
1.513  61.27  22.2
1.495  62.09  21.3
1.975  45.94  19.8
1.211  79.09  19.0

***

Structure and theoretical powder diffractogram of VPtRhW (a structure optimized by DFT (PBE); CuKα).
No peak broadening, texture or thermal motion is included.

Structure:
Cell lengths 3.8320, 3.8763, 3.9341 Å; angles 90.00, 90.00, 90.00 degrees
Atoms (fractional coordinates):
V: 0.0000 0.0000 0.0000
Pt: 0.5000 0.0000 0.5000
Rh: 0.0000 0.5000 0.5000
W: 0.5000 0.5000 0.0000

Largest 10 diffraction maxima, in order of falling intensity, 2θ = 15–90°:
d/Å  Position (°2θ)  I/Imax
2.240  40.26  100.0
1.967  46.15  16.9
3.832  23.21  16.8
1.938  46.88  16.2
1.916  47.45  15.6
2.761  32.42  14.9
1.182  81.45  12.9
1.169  82.51  12.5
1.159  83.36  12.2
1.120  86.99  11.1

***

Structure and theoretical powder diffractogram of Pr2DyY5 (a structure optimized by DFT (PBE); CuKα).
No peak broadening, texture or thermal motion is included.

Structure:
Cell lengths 9.5567, 9.5567, 6.6553 Å; angles 98.44, 98.44, 62.92 degrees
Atoms (fractional coordinates):
Pr: 0.1640 0.6733 0.8761
Pr: 0.3267 0.8360 0.6239
Pr: 0.6733 0.1640 0.3761
Pr: 0.8360 0.3267 0.1239
Dy: 0.0000 0.5000 0.0000
Dy: 0.5000 0.0000 0.5000
Y: 0.0116 0.1884 0.6492
Y: 0.1884 0.0116 0.1492
Y: 0.2133 0.3871 0.4697
Y: 0.3871 0.2133 0.9697
Y: 0.4382 0.5618 0.2500
Y: 0.5618 0.4382 0.7500
Y: 0.6129 0.7867 0.0303
Y: 0.7867 0.6129 0.5303
Y: 0.8116 0.9884 0.8508
Y: 0.9884 0.8116 0.3508

Largest 10 diffraction maxima, in order of falling intensity, 2θ = 15–90°:
d/Å  Position (°2θ)  I/Imax
2.877  31.09  100.0
2.867  31.19  46.5
4.977  17.82  32.2
3.058  29.21  24.8
2.963  30.16  24.2
2.906  30.77  21.3
2.982  29.96  19.9
2.359  38.16  16.4
1.657  55.45  15.1
2.017  44.95  14.4

***

Structure and theoretical powder diffractogram of Nb2Ir9Ru (a structure optimized by DFT (PBE); CuKα).
No peak broadening, texture or thermal motion is included.

Structure:
Cell lengths 3.9050, 3.9050, 11.7324 Å; angles 90.00, 90.00, 90.00 degrees
Atoms (fractional coordinates):
Nb: 0.0000 0.0000 0.1677
Nb: 0.0000 0.0000 0.8323
Ir: 0.0000 0.5000 0.0000
Ir: 0.0000 0.5000 0.3369
Ir: 0.0000 0.5000 0.6631
Ir: 0.5000 0.0000 0.0000
Ir: 0.5000 0.0000 0.3369
Ir: 0.5000 0.0000 0.6631
Ir: 0.5000 0.5000 0.1683
Ir: 0.5000 0.5000 0.5000
Ir: 0.5000 0.5000 0.8317
Ru: 0.0000 0.0000 0.5000

Largest 10 diffraction maxima, in order of falling intensity, 2θ = 15–90°:
d/Å  Position (°2θ)  I/Imax
2.256  39.97  100.0
1.953  46.49  48.9
1.381  67.85  31.7
1.178  81.79  25.6
1.179  81.68  12.7
1.128  86.24  11.4
3.907  22.76  5.6
2.763  32.41  4.9
1.747  52.36  2.7
1.595  57.81  2.0

***

Structure and theoretical powder diffractogram of K2TcOF5 (a structure optimized by DFT (PBE); CuKα).
No peak broadening, texture or thermal motion is included.

Structure:
Cell lengths 5.9053, 5.9053, 5.9053 Å; angles 115.91, 115.91, 97.25 degrees
Atoms (fractional coordinates):
K: 0.0000 0.5000 0.5000
K: 0.5000 0.0000 0.5000
Tc: 0.2344 0.2344 0.0000
O: 0.0185 0.0185 0.0000
F: 0.0371 0.0371 0.5501
F: 0.0371 0.4870 0.0000
F: 0.4857 0.4857 0.0000
F: 0.4870 0.0371 0.0000
F: 0.4870 0.4870 0.4499

Largest 10 diffraction maxima, in order of falling intensity, 2θ = 15–90°:
d/Å  Position (°2θ)  I/Imax
4.887  18.15  100.0
2.929  30.52  43.1
2.216  40.72  35.9
2.638  33.99  25.2
3.133  28.49  24.5
1.767  51.73  17.1
1.465  63.52  14.5
1.697  54.05  13.6
2.403  37.42  11.7
1.952  46.53  11.1

***

What is the formula in the sixth record?
Pr2DyY5

***

Number 4 is which compound?
Tm2Fe17C3